Simulated X-ray diffraction stick pattern of SrWF5 for Cu Kα, 1.54184 Å, from a crystal structure in Alexandria, relaxed with PBE+U.

The 6 most intense peaks (2θ from 15° to 90°), by angle:
15.95°, intensity 26, hkl 1 1 0
19.94°, intensity 63, hkl 2 0 0
25.06°, intensity 100, hkl 1 1 -2
32.09°, intensity 18, hkl 1 1 2
32.37°, intensity 18, hkl 3 1 -2
44.14°, intensity 30, hkl 2 0 -4

Crystal structure
```
data_SrWF5
_cell_length_a 9.767
_cell_length_b 7.112
_cell_length_c 8.204
_cell_angle_alpha 90.00
_cell_angle_beta 114.26
_cell_angle_gamma 90.00
_symmetry_space_group_name_H-M 'C 1 2/c 1'
_symmetry_Int_Tables_number 15
loop_
_symmetry_equiv_pos_as_xyz
'x,y,z'
'-x,-y,-z'
'-x,y,-z+1/2'
'x,-y,z+1/2'
'x+1/2,y+1/2,z'
'-x+1/2,-y+1/2,-z'
'-x+1/2,y+1/2,-z+1/2'
'x+1/2,-y+1/2,z+1/2'
loop_
_atom_site_label
_atom_site_fract_x
_atom_site_fract_y
_atom_site_fract_z
Sr1 0.000 0.037 0.250
W1 0.000 0.500 0.000
F1 0.000 0.411 0.250
F2 0.007 0.203 0.973
F3 0.234 0.482 0.619
```